Simulated powder XRD pattern
Compound: In2AgTe3Cl
Radiation: Cu Kα X-rays
Structure: DFT lattice parameters and positions (PBE)
Peak positions follow from Bragg's law for the DFT cell and can differ from measured ones.

Atomic structure:
```
data_In2AgTe3Cl
_chemical_formula_sum 'In2 Ag1 Te3 Cl1'
_symmetry_space_group_name_H-M 'P 4/m m m'
_symmetry_Int_Tables_number 123
_symmetry_space_group_name_Hall '-P 4 2'
_cell_length_a 4.3032
_cell_length_b 4.3032
_cell_length_c 11.4005
_cell_angle_alpha 90.00
_cell_angle_beta 90.00
_cell_angle_gamma 90.00
loop_
_atom_site_label
_atom_site_type_symbol
_atom_site_fract_x
_atom_site_fract_y
_atom_site_fract_z
In1 In 0.0000 0.0000 0.2301
Ag1 Ag 0.5000 0.5000 0.5000
Te1 Te 0.0000 0.0000 0.5000
Te2 Te 0.5000 0.5000 0.2529
Cl1 Cl 0.0000 0.0000 0.0000
```

Main lines, by angle (5 to 70 degrees two-theta):
| 2theta | intensity |
| --- | --- |
| 7.8 | 53 |
| 29.4 | 100 |
| 31.4 | 40 |
| 42.0 | 37 |
| 43.5 | 62 |
| 53.4 | 34 |

Simulated powder XRD pattern
Compound: FeB2
Radiation: Cu Kα X-rays
Structure: DFT lattice parameters and positions (PBE)
Peak positions follow from Bragg's law for the DFT cell and can differ from measured ones.

Atomic structure:
```
data_FeB2
_chemical_formula_sum 'Fe1 B2'
_symmetry_space_group_name_H-M 'P 6/m m m'
_symmetry_Int_Tables_number 191
_symmetry_space_group_name_Hall '-P 6 2'
_cell_length_a 3.0192
_cell_length_b 3.0192
_cell_length_c 2.7636
_cell_angle_alpha 90.00
_cell_angle_beta 90.00
_cell_angle_gamma 120.00
loop_
_atom_site_label
_atom_site_type_symbol
_atom_site_fract_x
_atom_site_fract_y
_atom_site_fract_z
Fe1 Fe 0.0000 0.0000 0.0000
B1 B 0.3333 0.6667 0.5000
```

Main lines, by angle (5 to 70 degrees two-theta):
| 2theta | intensity |
| --- | --- |
| 32.4 | 22 |
| 34.3 | 81 |
| 47.9 | 100 |
| 61.4 | 27 |
| 67.8 | 6 |

Simulated powder XRD pattern
Compound: Be3N2
Radiation: Cu Kα X-rays
Structure: DFT lattice parameters and positions (PBE)
Peak positions follow from Bragg's law for the DFT cell and can differ from measured ones.

Atomic structure:
```
data_Be3N2
_chemical_formula_sum 'Be48 N32'
_symmetry_space_group_name_H-M 'I a -3'
_symmetry_Int_Tables_number 206
_symmetry_space_group_name_Hall '-I 2b 2c 3'
_cell_length_a 8.1491
_cell_length_b 8.1491
_cell_length_c 8.1491
_cell_angle_alpha 90.00
_cell_angle_beta 90.00
_cell_angle_gamma 90.00
loop_
_atom_site_label
_atom_site_type_symbol
_atom_site_fract_x
_atom_site_fract_y
_atom_site_fract_z
Be1 Be 0.1139 0.1457 0.6198
N1 N 0.0000 0.2500 0.4791
N2 N 0.2500 0.2500 0.2500
```

Main lines, by angle (5 to 70 degrees two-theta):
| 2theta | intensity |
| --- | --- |
| 26.8 | 17 |
| 38.3 | 100 |
| 41.5 | 4 |
| 44.5 | 4 |
| 52.7 | 9 |
| 64.7 | 56 |

Simulated powder XRD pattern
Compound: Ho2Ti3Si4
Radiation: Cu Kα X-rays
Structure: DFT lattice parameters and positions (PBE)
Peak positions follow from Bragg's law for the DFT cell and can differ from measured ones.

Atomic structure:
```
data_Ho2Ti3Si4
_chemical_formula_sum 'Ho8 Ti12 Si16'
_symmetry_space_group_name_H-M 'P 41 21 2'
_symmetry_Int_Tables_number 92
_cell_length_a 7.0403
_cell_length_b 7.0403
_cell_length_c 12.9436
_cell_angle_alpha 90.00
_cell_angle_beta 90.00
_cell_angle_gamma 90.00
loop_
_symmetry_equiv_pos_as_xyz
'x,y,z'
'-y+1/2,x+1/2,z+1/4'
'-x,-y,z+1/2'
'y+1/2,-x+1/2,z+3/4'
'x+1/2,-y+1/2,-z+3/4'
'-y,-x,-z+1/2'
'-x+1/2,y+1/2,-z+1/4'
'y,x,-z'
loop_
_atom_site_label
_atom_site_type_symbol
_atom_site_fract_x
_atom_site_fract_y
_atom_site_fract_z
Ho1 Ho 0.0027 0.3411 0.0336
Ti1 Ti 0.0078 0.1514 0.6240
Ti2 Ti 0.1730 0.8270 0.7500
Si1 Si 0.0471 0.7093 0.9353
Si2 Si 0.1316 0.2028 0.8157
```

Main lines, by angle (5 to 70 degrees two-theta):
| 2theta | intensity |
| --- | --- |
| 19.1 | 41 |
| 31.6 | 42 |
| 35.3 | 100 |
| 36.8 | 68 |
| 39.2 | 63 |
| 40.9 | 86 |

Simulated powder XRD pattern
Compound: Pb3O4
Radiation: Cu Kα X-rays
Structure: DFT lattice parameters and positions (PBE)
Peak positions follow from Bragg's law for the DFT cell and can differ from measured ones.

Atomic structure:
```
data_Pb3O4
_chemical_formula_sum 'Pb12 O16'
_symmetry_space_group_name_H-M 'P 42/m b c'
_symmetry_Int_Tables_number 135
_symmetry_space_group_name_Hall '-P 4c 2ab'
_cell_length_a 9.0395
_cell_length_b 9.0395
_cell_length_c 6.7767
_cell_angle_alpha 90.00
_cell_angle_beta 90.00
_cell_angle_gamma 90.00
loop_
_atom_site_label
_atom_site_type_symbol
_atom_site_fract_x
_atom_site_fract_y
_atom_site_fract_z
Pb1 Pb 0.0000 0.5000 0.2500
Pb2 Pb 0.1449 0.1675 0.0000
O1 O 0.0948 0.6334 0.0000
O2 O 0.1706 0.3294 0.2500
```

Main lines, by angle (5 to 70 degrees two-theta):
| 2theta | intensity |
| --- | --- |
| 25.7 | 100 |
| 29.8 | 36 |
| 31.3 | 49 |
| 33.0 | 32 |
| 48.4 | 24 |
| 50.6 | 31 |

Simulated powder XRD pattern
Compound: K2LiLaCl6
Radiation: Cu Kα X-rays
Structure: DFT lattice parameters and positions (PBE)
Peak positions follow from Bragg's law for the DFT cell and can differ from measured ones.

Atomic structure:
```
data_K2LiLaCl6
_chemical_formula_sum 'K8 Li4 La4 Cl24'
_symmetry_space_group_name_H-M 'F m -3 m'
_symmetry_Int_Tables_number 225
_symmetry_space_group_name_Hall '-F 4 2 3'
_cell_length_a 10.6559
_cell_length_b 10.6559
_cell_length_c 10.6559
_cell_angle_alpha 90.00
_cell_angle_beta 90.00
_cell_angle_gamma 90.00
loop_
_atom_site_label
_atom_site_type_symbol
_atom_site_fract_x
_atom_site_fract_y
_atom_site_fract_z
K1 K 0.2500 0.2500 0.2500
Li1 Li 0.0000 0.0000 0.0000
La1 La 0.0000 0.0000 0.5000
Cl1 Cl 0.0000 0.0000 0.2411
```

Main lines, by angle (5 to 70 degrees two-theta):
| 2theta | intensity |
| --- | --- |
| 14.4 | 75 |
| 16.6 | 54 |
| 23.6 | 60 |
| 27.8 | 64 |
| 33.6 | 100 |
| 48.3 | 65 |

Simulated powder XRD pattern
Compound: Cs2LiNdI6
Radiation: Cu Kα X-rays
Structure: DFT lattice parameters and positions (PBE)
Peak positions follow from Bragg's law for the DFT cell and can differ from measured ones.

Atomic structure:
```
data_Cs2LiNdI6
_chemical_formula_sum 'Cs8 Li4 Nd4 I24'
_symmetry_space_group_name_H-M 'F m -3 m'
_symmetry_Int_Tables_number 225
_symmetry_space_group_name_Hall '-F 4 2 3'
_cell_length_a 12.2556
_cell_length_b 12.2556
_cell_length_c 12.2556
_cell_angle_alpha 90.00
_cell_angle_beta 90.00
_cell_angle_gamma 90.00
loop_
_atom_site_label
_atom_site_type_symbol
_atom_site_fract_x
_atom_site_fract_y
_atom_site_fract_z
Cs1 Cs 0.2500 0.2500 0.2500
Li1 Li 0.0000 0.0000 0.0000
Nd1 Nd 0.0000 0.0000 0.5000
I1 I 0.0000 0.0000 0.2459
```

Main lines, by angle (5 to 70 degrees two-theta):
| 2theta | intensity |
| --- | --- |
| 25.2 | 100 |
| 29.1 | 93 |
| 41.7 | 69 |
| 49.3 | 46 |
| 51.7 | 25 |
| 68.5 | 31 |

Simulated powder XRD pattern
Compound: Th7Fe3
Radiation: Cu Kα X-rays
Structure: DFT lattice parameters and positions (PBE)
Peak positions follow from Bragg's law for the DFT cell and can differ from measured ones.

Atomic structure:
```
data_Th7Fe3
_chemical_formula_sum 'Th14 Fe6'
_symmetry_space_group_name_H-M 'P 63 m c'
_symmetry_Int_Tables_number 186
_symmetry_space_group_name_Hall 'P 6c -2c'
_cell_length_a 9.6833
_cell_length_b 9.6833
_cell_length_c 6.2341
_cell_angle_alpha 90.00
_cell_angle_beta 90.00
_cell_angle_gamma 120.00
loop_
_atom_site_label
_atom_site_type_symbol
_atom_site_fract_x
_atom_site_fract_y
_atom_site_fract_z
Th1 Th 0.0843 0.5421 0.0000
Th2 Th 0.1249 0.2498 0.6932
Th3 Th 0.3333 0.6667 0.4741
Fe1 Fe 0.1848 0.3695 0.2364
```

Main lines, by angle (5 to 70 degrees two-theta):
| 2theta | intensity |
| --- | --- |
| 30.6 | 46 |
| 31.7 | 100 |
| 35.2 | 36 |
| 35.9 | 32 |
| 55.1 | 26 |
| 56.2 | 29 |

Simulated powder XRD pattern
Compound: In3CuSe5
Radiation: Cu Kα X-rays
Structure: DFT lattice parameters and positions (PBE)
Peak positions follow from Bragg's law for the DFT cell and can differ from measured ones.

Atomic structure:
```
data_In3CuSe5
_chemical_formula_sum 'In3 Cu1 Se5'
_symmetry_space_group_name_H-M 'P 1'
_symmetry_Int_Tables_number 1
_cell_length_a 5.8909
_cell_length_b 7.2104
_cell_length_c 7.2512
_cell_angle_alpha 80.35
_cell_angle_beta 66.39
_cell_angle_gamma 66.11
loop_
_symmetry_equiv_pos_as_xyz
'x,y,z'
loop_
_atom_site_label
_atom_site_type_symbol
_atom_site_fract_x
_atom_site_fract_y
_atom_site_fract_z
In1 In 0.0000 0.0000 0.0000
In2 In 0.1832 0.2134 0.3879
In3 In 0.7743 0.7844 0.6049
Cu1 Cu 0.3551 0.4104 0.8011
Se1 Se 0.0121 0.3304 0.0899
Se2 Se 0.2587 0.5055 0.4956
Se3 Se 0.4334 0.6716 0.9158
Se4 Se 0.6251 0.8772 0.2884
Se5 Se 0.7980 0.1196 0.7048
```

Main lines, by angle (5 to 70 degrees two-theta):
| 2theta | intensity |
| --- | --- |
| 26.0 | 55 |
| 26.1 | 100 |
| 26.2 | 48 |
| 43.1 | 24 |
| 43.2 | 25 |
| 43.4 | 69 |